Entry 1:
For TiCuO3, a DFT-relaxed cell (GGA-PBE, the Materials Project) gives the calculated X-ray powder pattern in this record (Cu Ka).
No peak broadening, texture or thermal motion is included.

Structure:
```
TiCuO3
1.0
4.014 0.000 0.000
0.000 4.014 0.000
0.000 0.000 3.778
Ti Cu O
1 1 3
Direct
0.000 0.000 0.000 Ti
0.500 0.500 0.000 Cu
0.000 0.000 0.500 O
0.000 0.500 0.000 O
0.500 0.000 0.000 O
```

Principal peaks in the range 2θ from 10° to 90°, sorted by position:
| d_spacing | intensity |
| --- | --- |
| 3.778 | 100 |
| 2.838 | 51 |
| 2.751 | 14 |
| 2.269 | 25 |
| 2.007 | 48 |
| 1.889 | 19 |
| 1.772 | 41 |
| 1.572 | 16 |
| 1.375 | 23 |
| 1.328 | 14 |



Entry 2:
For Tm2Ti12Cu9O36, a DFT-relaxed cell (GGA-PBE, the Materials Project) gives the calculated X-ray powder pattern in this record (Cu Ka).
No peak broadening, texture or thermal motion is included.

Structure:
```
Tm2Ti12Cu9O36
1.0
10.500 0.000 0.000
-5.250 9.093 0.000
0.000 0.000 6.442
Tm Ti Cu O
2 12 9 36
Direct
0.333 0.667 0.328 Tm
0.667 0.333 0.672 Tm
0.000 0.000 0.500 Ti
0.000 0.500 0.500 Ti
0.159 0.320 0.163 Ti
0.161 0.841 0.163 Ti
0.320 0.161 0.837 Ti
0.333 0.667 0.840 Ti
0.500 0.000 0.500 Ti
0.500 0.500 0.500 Ti
0.667 0.333 0.160 Ti
0.680 0.839 0.163 Ti
0.839 0.159 0.837 Ti
0.841 0.680 0.837 Ti
0.000 0.500 0.000 Cu
0.168 0.336 0.662 Cu
0.168 0.832 0.662 Cu
0.336 0.168 0.338 Cu
0.500 0.000 0.000 Cu
0.500 0.500 0.000 Cu
0.664 0.832 0.662 Cu
0.832 0.168 0.338 Cu
0.832 0.664 0.338 Cu
0.017 0.164 0.329 O
0.044 0.269 0.912 O
0.077 0.452 0.251 O
0.119 0.707 0.415 O
0.147 0.983 0.329 O
0.164 0.147 0.671 O
0.177 0.527 0.646 O
0.193 0.683 0.019 O
0.225 0.956 0.912 O
0.269 0.225 0.088 O
0.293 0.411 0.415 O
0.317 0.510 0.019 O
0.350 0.823 0.646 O
0.375 0.923 0.251 O
0.411 0.119 0.585 O
0.452 0.375 0.749 O
0.473 0.650 0.646 O
0.490 0.807 0.019 O
0.510 0.193 0.981 O
0.527 0.350 0.354 O
0.548 0.625 0.251 O
0.589 0.881 0.415 O
0.625 0.077 0.749 O
0.650 0.177 0.354 O
0.683 0.490 0.981 O
0.707 0.589 0.585 O
0.731 0.775 0.912 O
0.775 0.044 0.088 O
0.807 0.317 0.981 O
0.823 0.473 0.354 O
0.836 0.853 0.329 O
0.853 0.017 0.671 O
0.881 0.293 0.585 O
0.923 0.548 0.749 O
0.956 0.731 0.088 O
0.983 0.836 0.671 O
```

Principal peaks in the range 2θ from 10° to 90°, sorted by position:
| d_spacing | intensity |
| --- | --- |
| 5.255 | 9 |
| 3.715 | 8 |
| 2.627 | 100 |
| 2.349 | 9 |
| 2.145 | 10 |
| 1.986 | 8 |
| 1.857 | 27 |
| 1.517 | 36 |
| 1.516 | 12 |
| 1.175 | 16 |